The following is a simulated powder diffractogram of Nd4SmAl. It was derived from a structure optimized by DFT (GGA-PBE), using Cu Kα (λ = 1.5418 Å).

Structure:
Cell: 3.6379 3.6379 14.5264 Å, 90.00 90.00 90.00°
Fractional positions:
Nd  0.0000  0.0000  0.1348
Nd  0.0000  0.0000  0.8652
Nd  0.5000  0.5000  0.3202
Nd  0.5000  0.5000  0.6798
Sm  0.0000  0.0000  0.5000
Al  0.5000  0.5000  0.0000

Peak list (12 most intense, 2θ from 10° to 80°, low angle first)
2theta, d/Å, intensity, index
25.24, 3.529, 6, 1 0 1
27.42, 3.253, 18, 1 0 2
30.74, 2.908, 100, 1 0 3
34.88, 2.572, 39, 1 1 0
37.13, 2.421, 8, 0 0 6
47.19, 1.926, 13, 1 1 5
50.16, 1.819, 14, 2 0 0
51.86, 1.763, 12, 1 1 6
56.65, 1.625, 15, 1 0 8
59.99, 1.542, 33, 2 1 3
64.03, 1.454, 6, 2 0 6
79.02, 1.212, 11, 2 1 8